Record 1
This entry pairs a crystal structure of PdPbS3 with its computed XRD peak list. Radiation: copper Kα. Structure: a structure optimized by DFT (GGA-PBE).
Lines closer than 0.1° are merged.

Largest 12 diffraction maxima, by angle, 10 to 90 degrees two-theta:
- d 4.772, 2θ = 18.59°, rel. 4
- d 3.375, 2θ = 26.41°, rel. 100
- d 2.755, 2θ = 32.49°, rel. 20
- d 2.386, 2θ = 37.70°, rel. 43
- d 1.948, 2θ = 46.62°, rel. 45
- d 1.687, 2θ = 54.37°, rel. 29
- d 1.509, 2θ = 61.44°, rel. 20
- d 1.439, 2θ = 64.79°, rel. 8
- d 1.378, 2θ = 68.05°, rel. 10
- d 1.275, 2θ = 74.37°, rel. 23
- d 1.193, 2θ = 80.50°, rel. 5
- d 1.125, 2θ = 86.52°, rel. 12

Cell lengths 4.7725, 4.7725, 4.7725 Å; angles 90.00, 90.00, 90.00 degrees
Space group Pm-3m (No. 221)
One atom of each set of equivalent atoms:
1 Pd 0.0000 0.0000 0.0000 (multiplicity 1)
2 Pb 0.5000 0.5000 0.5000 (multiplicity 1)
3 S 0.0000 0.0000 0.5000 (multiplicity 3)

Record 2
This entry pairs a crystal structure of In3Hg with its computed XRD peak list. Radiation: copper Kα. Structure: a structure optimized by DFT (GGA-PBE).
Lines closer than 0.1° are merged.

Largest 12 diffraction maxima, by angle, 10 to 90 degrees two-theta:
- d 4.026, 2θ = 22.08°, rel. 7
- d 2.864, 2θ = 31.24°, rel. 23
- d 2.831, 2θ = 31.61°, rel. 29
- d 2.555, 2θ = 35.12°, rel. 100
- d 2.013, 2θ = 45.03°, rel. 17
- d 1.653, 2θ = 55.59°, rel. 18
- d 1.576, 2θ = 58.58°, rel. 22
- d 1.428, 2θ = 65.37°, rel. 21
- d 1.388, 2θ = 67.48°, rel. 15
- d 1.278, 2θ = 74.23°, rel. 4
- d 1.269, 2θ = 74.83°, rel. 4
- d 1.141, 2θ = 85.04°, rel. 8

Cell lengths 6.6130, 6.6130, 5.6617 Å; angles 90.00, 90.00, 120.00 degrees
Space group P6_3/mmc (No. 194)
One atom of each set of equivalent atoms:
1 In 0.1665 0.3330 0.2500 (multiplicity 6)
2 Hg 0.3333 0.6667 0.7500 (multiplicity 2)